CsMn2Bi2O7: theoretical PXRD pattern (Cu Kα (λ = 1.5418 Å)), based on a cell relaxed with GGA+U.
Neutral-atom scattering factors, no anomalous dispersion.

The 10 most intense peaks (5° ≤ 2θ ≤ 70°), most intense first:
2θ/deg  intensity
24.00  100
29.97  72
21.78  62
43.07  45
49.75  28
38.75  22
9.97  17
53.21  17
51.19  17
30.21  16

Structure:
abc: 9.519 9.519 9.519
angles: 36.51 36.51 36.51
Atoms (fractional coordinates):
Cs 0.000 0.000 0.000
Mn 0.430 0.430 0.430
Mn 0.570 0.570 0.570
Bi 0.215 0.215 0.215
Bi 0.785 0.785 0.785
O 0.075 0.499 0.656
O 0.344 0.501 0.925
O 0.499 0.656 0.075
O 0.500 0.500 0.500
O 0.501 0.925 0.344
O 0.656 0.075 0.499
O 0.925 0.344 0.501